Record 1
For Hf3NiRh, a GGA-PBE-relaxed structure gives the theoretical PXRD pattern in this record (λ = 1.5418 Å (Cu Kα)).
Intensities are scaled so that the largest is 100.

Top 10 peaks for 5° ≤ 2θ ≤ 70°, by angle:
2theta, I/Imax
27.49, 26
30.21, 60
36.25, 42
39.76, 14
41.30, 100
47.88, 14
53.65, 17
65.64, 16
66.48, 14
68.81, 17

Structure:
```
data_Hf3NiRh
_symmetry_space_group_name_H-M 'R 3 2'
_symmetry_Int_Tables_number 155
_symmetry_space_group_name_Hall 'R 3 2"'
_cell_length_a 5.9174
_cell_length_b 5.9174
_cell_length_c 19.4648
_cell_angle_alpha 90.00
_cell_angle_beta 90.00
_cell_angle_gamma 120.00
loop_
_atom_site_label
_atom_site_type_symbol
_atom_site_fract_x
_atom_site_fract_y
_atom_site_fract_z
Hf1 Hf 0.0029 0.4019 0.2518
Ni1 Ni 0.0000 0.0000 0.3159
Rh1 Rh 0.0000 0.0000 0.1819
```

---

Record 2
For CeNp2UN4, a GGA-PBE-relaxed structure gives the theoretical PXRD pattern in this record (λ = 1.5418 Å (Cu Kα)).
Intensities are scaled so that the largest is 100.

Top 10 peaks for 5° ≤ 2θ ≤ 70°, by angle:
2theta, I/Imax
31.44, 34
31.59, 100
36.60, 89
52.62, 31
52.81, 31
62.60, 15
62.78, 36
62.86, 10
65.63, 5
65.97, 16

Structure:
```
data_CeNp2UN4
_symmetry_space_group_name_H-M 'P 1 2/m 1'
_symmetry_Int_Tables_number 10
_cell_length_a 6.005
_cell_length_b 3.467
_cell_length_c 6.033
_cell_angle_alpha 90.00
_cell_angle_beta 109.40
_cell_angle_gamma 90.00
loop_
_symmetry_equiv_pos_as_xyz
'x,y,z'
'-x,-y,-z'
'-x,y,-z'
'x,-y,z'
loop_
_atom_site_label
_atom_site_type_symbol
_atom_site_fract_x
_atom_site_fract_y
_atom_site_fract_z
Ce1 Ce 0.000 0.000 0.000
Np1 Np 0.500 0.000 0.500
Np2 Np 0.500 0.500 0.000
U1 U 0.000 0.500 0.500
N1 N 0.249 0.000 0.736
N2 N 0.260 0.500 0.269
```

---

Record 3
For Ac2Pm6Pr3, a GGA-PBE-relaxed structure gives the theoretical PXRD pattern in this record (λ = 1.5418 Å (Cu Kα)).
Intensities are scaled so that the largest is 100.

Top 10 peaks for 5° ≤ 2θ ≤ 70°, by angle:
2theta, I/Imax
29.28, 100
29.36, 99
33.94, 68
34.08, 33
48.86, 60
57.84, 30
57.98, 29
58.10, 28
60.73, 13
60.91, 13

Structure:
```
data_Ac2Pm6Pr3
_symmetry_space_group_name_H-M 'P -1'
_symmetry_Int_Tables_number 2
_cell_length_a 3.743
_cell_length_b 6.456
_cell_length_c 17.457
_cell_angle_alpha 90.09
_cell_angle_beta 90.02
_cell_angle_gamma 106.80
loop_
_symmetry_equiv_pos_as_xyz
'x,y,z'
'-x,-y,-z'
loop_
_atom_site_label
_atom_site_type_symbol
_atom_site_fract_x
_atom_site_fract_y
_atom_site_fract_z
Ac1 Ac 0.182 0.363 0.272
Pm1 Pm 0.274 0.547 0.912
Pm2 Pm 0.363 0.727 0.543
Pm3 Pm 0.452 0.902 0.178
Pr1 Pr 0.000 0.000 0.000
Pr2 Pr 0.089 0.178 0.635
```

---

Record 4
For Ba2Mg6Au3, a GGA-PBE-relaxed structure gives the theoretical PXRD pattern in this record (λ = 1.5418 Å (Cu Kα)).
Intensities are scaled so that the largest is 100.

Top 10 peaks for 5° ≤ 2θ ≤ 70°, by angle:
2theta, I/Imax
11.81, 20
20.52, 46
28.32, 100
30.78, 19
35.94, 35
37.28, 22
39.18, 15
46.37, 20
54.21, 21
60.01, 28

Structure:
```
data_Ba2Mg6Au3
_symmetry_space_group_name_H-M 'P -6 2 m'
_symmetry_Int_Tables_number 189
_symmetry_space_group_name_Hall 'P -6 -2'
_cell_length_a 8.6559
_cell_length_b 8.6559
_cell_length_c 4.5985
_cell_angle_alpha 90.00
_cell_angle_beta 90.00
_cell_angle_gamma 120.00
loop_
_atom_site_label
_atom_site_type_symbol
_atom_site_fract_x
_atom_site_fract_y
_atom_site_fract_z
Ba1 Ba 0.3333 0.6667 0.0000
Mg1 Mg 0.0000 0.2891 0.5000
Mg2 Mg 0.0000 0.7986 0.0000
Au1 Au 0.0000 0.6232 0.5000
```

---

Record 5
For Ho2Tl3, a GGA-PBE-relaxed structure gives the theoretical PXRD pattern in this record (λ = 1.5418 Å (Cu Kα)).
Intensities are scaled so that the largest is 100.

Top 10 peaks for 5° ≤ 2θ ≤ 70°, by angle:
2theta, I/Imax
32.55, 100
36.76, 35
39.70, 15
52.82, 2
52.96, 11
55.21, 22
63.56, 25
67.56, 12
68.18, 10
68.54, 2

Structure:
```
data_Ho2Tl3
_symmetry_space_group_name_H-M 'P 4/m'
_symmetry_Int_Tables_number 83
_cell_length_a 7.732
_cell_length_b 7.732
_cell_length_c 4.540
_cell_angle_alpha 90.00
_cell_angle_beta 90.00
_cell_angle_gamma 90.00
loop_
_symmetry_equiv_pos_as_xyz
'x,y,z'
'-x,-y,-z'
'-y,x,z'
'y,-x,-z'
'-x,-y,z'
'x,y,-z'
'y,-x,z'
'-y,x,-z'
loop_
_atom_site_label
_atom_site_type_symbol
_atom_site_fract_x
_atom_site_fract_y
_atom_site_fract_z
Ho1 Ho 0.128 0.695 0.000
Tl1 Tl 0.000 0.000 0.500
Tl2 Tl 0.180 0.394 0.500
Tl3 Tl 0.500 0.500 0.000
```

---

Record 6
For LiLu, a GGA-PBE-relaxed structure gives the theoretical PXRD pattern in this record (λ = 1.5418 Å (Cu Kα)).
Intensities are scaled so that the largest is 100.

Top 10 peaks for 5° ≤ 2θ ≤ 70°, by angle:
2theta, I/Imax
11.77, 99
27.49, 100
34.51, 92
35.28, 46
35.84, 17
37.32, 26
50.76, 17
51.18, 26
58.69, 24
62.83, 33

Structure:
```
data_LiLu
_symmetry_space_group_name_H-M 'P 4/n m m'
_symmetry_Int_Tables_number 129
_cell_length_a 3.597
_cell_length_b 3.597
_cell_length_c 7.516
_cell_angle_alpha 90.00
_cell_angle_beta 90.00
_cell_angle_gamma 90.00
loop_
_symmetry_equiv_pos_as_xyz
'x,y,z'
'-x,-y,-z'
'-y+1/2,x,z'
'y+1/2,-x,-z'
'-x+1/2,-y+1/2,z'
'x+1/2,y+1/2,-z'
'y,-x+1/2,z'
'-y,x+1/2,-z'
'x+1/2,-y,-z'
'-x+1/2,y,z'
'-y,-x,-z'
'y,x,z'
'-x,y+1/2,-z'
'x,-y+1/2,z'
'y+1/2,x+1/2,-z'
'-y+1/2,-x+1/2,z'
loop_
_atom_site_label
_atom_site_type_symbol
_atom_site_fract_x
_atom_site_fract_y
_atom_site_fract_z
Li1 Li 0.250 0.250 0.088
Lu1 Lu 0.250 0.250 0.645
```

---

Record 7
For UNi4P, a GGA-PBE-relaxed structure gives the theoretical PXRD pattern in this record (λ = 1.5418 Å (Cu Kα)).
Intensities are scaled so that the largest is 100.

Top 10 peaks for 5° ≤ 2θ ≤ 70°, by angle:
2theta, I/Imax
19.06, 40
31.18, 72
35.78, 34
38.62, 100
40.02, 86
41.71, 27
43.11, 29
46.26, 37
48.96, 20
50.03, 32

Structure:
```
data_UNi4P
_symmetry_space_group_name_H-M 'P m m a'
_symmetry_Int_Tables_number 51
_cell_length_a 6.919
_cell_length_b 3.647
_cell_length_c 6.295
_cell_angle_alpha 90.00
_cell_angle_beta 90.00
_cell_angle_gamma 90.00
loop_
_symmetry_equiv_pos_as_xyz
'x,y,z'
'-x,-y,-z'
'-x+1/2,-y,z'
'x+1/2,y,-z'
'x+1/2,-y,-z'
'-x+1/2,y,z'
'-x,y,-z'
'x,-y,z'
loop_
_atom_site_label
_atom_site_type_symbol
_atom_site_fract_x
_atom_site_fract_y
_atom_site_fract_z
U1 U 0.250 0.000 0.134
Ni1 Ni 0.000 0.000 0.500
Ni2 Ni 0.050 0.500 0.811
Ni3 Ni 0.250 0.500 0.452
P1 P 0.250 0.000 0.716
```

---

Record 8
For Rb5LiSn6, a GGA-PBE-relaxed structure gives the theoretical PXRD pattern in this record (λ = 1.5418 Å (Cu Kα)).
Intensities are scaled so that the largest is 100.

Top 10 peaks for 5° ≤ 2θ ≤ 70°, by angle:
2theta, I/Imax
13.58, 58
22.93, 34
25.39, 54
25.98, 67
26.32, 81
26.77, 98
33.01, 45
33.63, 58
33.83, 100
56.29, 55

Structure:
```
data_Rb5LiSn6
_symmetry_space_group_name_H-M 'C 1 2/m 1'
_symmetry_Int_Tables_number 12
_cell_length_a 7.622
_cell_length_b 14.811
_cell_length_c 9.564
_cell_angle_alpha 90.00
_cell_angle_beta 107.76
_cell_angle_gamma 90.00
loop_
_symmetry_equiv_pos_as_xyz
'x,y,z'
'-x,-y,-z'
'-x,y,-z'
'x,-y,z'
'x+1/2,y+1/2,z'
'-x+1/2,-y+1/2,-z'
'-x+1/2,y+1/2,-z'
'x+1/2,-y+1/2,z'
loop_
_atom_site_label
_atom_site_type_symbol
_atom_site_fract_x
_atom_site_fract_y
_atom_site_fract_z
Rb1 Rb 0.000 0.000 0.000
Rb2 Rb 0.000 0.150 0.500
Rb3 Rb 0.000 0.270 0.000
Li1 Li 0.000 0.500 0.500
Sn1 Sn 0.106 0.500 0.176
Sn2 Sn 0.144 0.391 0.712
```